1.
Ba2Cu3P4: calculated powder diffraction line list (CuKα), based on a DFT-relaxed cell (PBE, Alexandria).

Structure:
```
data_Ba2Cu3P4
_chemical_formula_sum 'Ba8 Cu12 P16'
_cell_length_a 9.3985
_cell_length_b 12.4483
_cell_length_c 6.2221
_cell_angle_alpha 90.00
_cell_angle_beta 90.00
_cell_angle_gamma 90.00
_symmetry_space_group_name_H-M 'I b a m'
_symmetry_Int_Tables_number 72
_symmetry_space_group_name_Hall '-I 2 2c'
loop_
_atom_site_label
_atom_site_type_symbol
_atom_site_fract_x
_atom_site_fract_y
_atom_site_fract_z
Ba1 Ba 0.2028 0.1090 0.0000
Cu1 Cu 0.0000 0.2805 0.2500
Cu2 Cu 0.0000 0.5000 0.2500
P1 P 0.1326 0.1612 0.5000
P2 P 0.1328 0.3788 0.0000
```

Main lines, most intense first (2θ = 10–90°):
d = 2.594 Å, I 100.0, hkl 2 0 2; d = 2.200 Å, I 47.4, hkl 0 4 2; d = 3.985 Å, I 43.3, hkl 1 2 1; d = 2.552 Å, I 30.3, hkl 3 2 1; d = 3.038 Å, I 27.4, hkl 3 1 0; d = 2.782 Å, I 23.8, hkl 2 3 1; d = 2.874 Å, I 17.2, hkl 1 1 2; d = 1.334 Å, I 16.7, hkl 2 4 4; d = 1.652 Å, I 15.4, hkl 3 5 2; d = 3.112 Å, I 15.3, hkl 0 0 2

=====

2.
BaCu10P4: calculated powder diffraction line list (CuKα), based on a DFT-relaxed cell (PBE, Alexandria).

Structure:
```
data_BaCu10P4
_chemical_formula_sum 'Ba4 Cu40 P16'
_cell_length_a 23.6991
_cell_length_b 3.8305
_cell_length_c 9.6781
_cell_angle_alpha 90.00
_cell_angle_beta 94.10
_cell_angle_gamma 90.00
_symmetry_space_group_name_H-M 'C 1 2/m 1'
_symmetry_Int_Tables_number 12
loop_
_symmetry_equiv_pos_as_xyz
'x,y,z'
'-x,-y,-z'
'-x,y,-z'
'x,-y,z'
'x+1/2,y+1/2,z'
'-x+1/2,-y+1/2,-z'
'-x+1/2,y+1/2,-z'
'x+1/2,-y+1/2,z'
loop_
_atom_site_label
_atom_site_type_symbol
_atom_site_fract_x
_atom_site_fract_y
_atom_site_fract_z
Ba1 Ba 0.1425 0.0000 0.2836
Cu1 Cu 0.0276 0.5000 0.3850
Cu2 Cu 0.0325 0.5000 0.1186
Cu3 Cu 0.0497 0.0000 0.5759
Cu4 Cu 0.0572 0.0000 0.9436
Cu5 Cu 0.0983 0.5000 0.7755
Cu6 Cu 0.1531 0.0000 0.6515
Cu7 Cu 0.1671 0.0000 0.9298
Cu8 Cu 0.2135 0.5000 0.5353
Cu9 Cu 0.2176 0.5000 0.8021
Cu10 Cu 0.2231 0.5000 0.0671
P1 P 0.0076 0.0000 0.2418
P2 P 0.1090 0.5000 0.5392
P3 P 0.1196 0.5000 0.0091
P4 P 0.2488 0.0000 0.6859
```

Main lines, most intense first (2θ = 10–90°):
d = 1.915 Å, I 100.0, hkl 0 2 0; d = 2.437 Å, I 99.2, hkl 1 1 3; d = 2.166 Å, I 96.8, hkl 9 1 0; d = 2.389 Å, I 81.4, hkl 3 1 -3; d = 2.533 Å, I 59.3, hkl 7 1 0; d = 2.023 Å, I 39.6, hkl 1 1 4; d = 2.768 Å, I 36.2, hkl 8 0 1; d = 2.483 Å, I 35.8, hkl 7 1 -1; d = 2.006 Å, I 30.8, hkl 3 1 -4; d = 2.294 Å, I 29.2, hkl 4 0 -4